Simulated PXRD pattern
Compound: ZrMn2H12O6F8
Radiation: copper Kα
Structure: a cell relaxed with PBE+U

Peak list (10 most intense, 2θ = 10–90°, by angle)
two_theta	d/Å	Rel. int.
13.6	6.521	16
14.0	6.323	47
15.1	5.868	100
23.8	3.738	22
25.8	3.451	40
27.4	3.261	17
37.8	2.382	15
42.8	2.114	16
43.9	2.062	13
52.7	1.737	14

Structural model:
```
58
Lattice="5.710 -4.123 0.000 5.710 4.123 0.000 -4.533 0.000 11.737" Properties=species:S:1:pos:R:3 pbc="T T T"
Zr 2.310 2.198 8.802
Zr 4.577 -2.198 2.934
Mn -1.209 0.893 8.384
Mn 1.057 -0.893 2.516
Mn 5.830 0.893 9.221
Mn 8.096 -0.893 3.353
H 2.605 1.418 1.238
H -0.665 0.197 5.687
H 4.024 2.091 1.411
H -2.932 -0.197 11.556
H 0.653 0.660 6.487
H 2.987 1.563 5.467
H 3.338 0.765 4.132
H 5.130 2.091 4.457
H 2.920 -0.660 0.619
H 6.166 1.563 0.401
H 0.339 -1.418 7.106
H 5.815 0.765 1.737
H 1.072 -0.765 10.000
H 6.549 1.418 4.630
H 0.721 -1.563 11.335
H 3.967 0.660 11.118
H 1.758 -2.091 7.279
H 3.549 -0.765 7.605
H 3.900 -1.563 6.270
H 6.234 -0.660 5.249
H 9.819 0.197 0.181
H 2.863 -2.091 10.325
H 7.552 -0.197 6.049
H 4.282 -1.418 10.498
O 3.054 2.235 1.583
O -0.210 0.163 6.569
O 2.057 -0.163 0.700
O 3.441 1.647 4.583
O 5.712 1.647 1.286
O 6.099 2.235 4.285
O 0.788 -2.235 7.451
O 1.175 -1.647 10.451
O 3.446 -1.647 7.154
O 4.830 0.163 11.036
O 7.097 -0.163 5.168
O 3.833 -2.235 10.153
F 2.744 3.869 7.524
F 1.877 3.869 10.081
F 0.836 1.166 3.381
F 2.036 1.473 6.816
F 0.875 0.614 9.102
F -1.430 -1.166 9.249
F 2.585 1.473 10.789
F 3.142 -0.614 3.233
F 3.745 0.614 8.503
F 4.302 -1.473 0.947
F 8.317 1.166 2.488
F 6.012 -0.614 2.635
F 4.851 -1.473 4.921
F 6.051 -1.166 8.356
F 5.010 -3.869 1.656
F 4.143 -3.869 4.213
```